Entry 1:
For Ce3Pu3Ir2, a cell relaxed with GGA-PBE gives the calculated X-ray diffraction stick pattern in this record (a wavelength of 1.5418 Å).
Intensities are scaled so that the largest is 100.

The 10 most intense peaks (10° ≤ 2θ ≤ 80°), sorted by position:
Position (°2θ)  I/Imax
21.4  38
31.4  92
31.9  68
32.3  84
34.9  90
35.6  37
38.3  100
38.5  40
41.6  29
42.2  33

Crystal structure
Cell: 7.613 17.125 6.048 Å, 90.00 90.00 90.00°
Fractional positions:
Ce (0.039, 0.126, 0.115)
Ce (0.039, 0.374, 0.115)
Ce (0.175, 0.250, 0.608)
Ce (0.325, 0.750, 0.108)
Ce (0.461, 0.626, 0.615)
Ce (0.461, 0.874, 0.615)
Ce (0.539, 0.126, 0.385)
Ce (0.539, 0.374, 0.385)
Ce (0.675, 0.250, 0.892)
Ce (0.825, 0.750, 0.392)
Ce (0.961, 0.626, 0.885)
Ce (0.961, 0.874, 0.885)
Pu (0.178, 0.030, 0.636)
Pu (0.178, 0.470, 0.636)
Pu (0.227, 0.750, 0.655)
Pu (0.273, 0.250, 0.155)
Pu (0.322, 0.530, 0.136)
Pu (0.322, 0.970, 0.136)
Pu (0.678, 0.030, 0.864)
Pu (0.678, 0.470, 0.864)
Pu (0.727, 0.750, 0.845)
Pu (0.773, 0.250, 0.345)
Pu (0.822, 0.530, 0.364)
Pu (0.822, 0.970, 0.364)
Ir (0.107, 0.630, 0.372)
Ir (0.107, 0.870, 0.372)
Ir (0.393, 0.130, 0.872)
Ir (0.393, 0.370, 0.872)
Ir (0.607, 0.630, 0.128)
Ir (0.607, 0.870, 0.128)
Ir (0.893, 0.130, 0.628)
Ir (0.893, 0.370, 0.628)

---

Entry 2:
For Ce2Ir15Rh2, a cell relaxed with GGA-PBE gives the calculated X-ray diffraction stick pattern in this record (a wavelength of 1.5418 Å).
Intensities are scaled so that the largest is 100.

The 10 most intense peaks (10° ≤ 2θ ≤ 80°), sorted by position:
Position (°2θ)  I/Imax
19.5  39
34.1  21
35.6  25
39.6  54
40.0  100
41.2  64
44.9  96
45.9  19
71.9  23
74.2  19

Crystal structure
Cell: 6.843 6.843 6.843 Å, 83.34 83.34 83.34°
Fractional positions:
Ce (0.162, 0.162, 0.162)
Ce (0.838, 0.838, 0.838)
Ir (0.000, 0.500, 0.500)
Ir (0.147, 0.147, 0.650)
Ir (0.147, 0.650, 0.147)
Ir (0.205, 0.500, 0.795)
Ir (0.205, 0.795, 0.500)
Ir (0.350, 0.853, 0.853)
Ir (0.500, 0.000, 0.500)
Ir (0.500, 0.205, 0.795)
Ir (0.500, 0.500, 0.000)
Ir (0.500, 0.795, 0.205)
Ir (0.650, 0.147, 0.147)
Ir (0.795, 0.205, 0.500)
Ir (0.795, 0.500, 0.205)
Ir (0.853, 0.350, 0.853)
Ir (0.853, 0.853, 0.350)
Rh (0.393, 0.393, 0.393)
Rh (0.607, 0.607, 0.607)